1.
Starting from the GGA-PBE geometry in Alexandria, the XRD peak list of Tb6YHo4 was computed for Cu Kα.

The 10 most intense peaks (2θ from 15° to 90°), by angle:
hkl 1 1 7, 2.930 Å, 30.5 deg, rel. 65.2
hkl 0 2 7, 2.905 Å, 30.8 deg, rel. 57.0
hkl 2 0 0, 2.861 Å, 31.3 deg, rel. 73.4
hkl 1 3 0, 2.793 Å, 32.1 deg, rel. 100.0
hkl 1 3 1, 2.776 Å, 32.2 deg, rel. 33.2
hkl 1 1 8, 2.677 Å, 33.5 deg, rel. 62.7
hkl 2 2 7, 2.038 Å, 44.5 deg, rel. 41.7
hkl 3 3 0, 1.638 Å, 56.1 deg, rel. 20.4
hkl 1 5 7, 1.629 Å, 56.5 deg, rel. 18.8
hkl 2 4 8, 1.593 Å, 57.9 deg, rel. 16.5

Atomic structure:
```
data_Tb6YHo4
_chemical_formula_sum 'Tb24 Y4 Ho16'
_cell_length_a 5.721
_cell_length_b 9.599
_cell_length_c 25.540
_cell_angle_alpha 90.00
_cell_angle_beta 90.00
_cell_angle_gamma 90.00
_space_group_name_H-M_alt 'C m c m'
_space_group_IT_number 63
_space_group_name_Hall '-C 2c 2'
loop_
_atom_site_label
_atom_site_type_symbol
_atom_site_fract_x
_atom_site_fract_y
_atom_site_fract_z
Tb1 Tb 0.000 0.000 0.000
Tb2 Tb 0.000 0.035 0.250
Tb3 Tb 0.000 0.303 0.603
Tb4 Tb 0.000 0.367 0.182
Y1 Y 0.000 0.301 0.750
Ho1 Ho 0.000 0.038 0.122
Ho2 Ho 0.000 0.347 0.043
```

=====

2.
Starting from the GGA-PBE geometry in Alexandria, the XRD peak list of LiGa12Ag6 was computed for Cu Kα.

The 10 most intense peaks (2θ from 15° to 90°), by angle:
hkl 2 -1 3, 3.116 Å, 28.6 deg, rel. 29.2
hkl 4 -3 1, 2.351 Å, 38.3 deg, rel. 100.0
hkl 0 3 3, 2.336 Å, 38.5 deg, rel. 35.0
hkl 0 1 5, 2.307 Å, 39.0 deg, rel. 30.1
hkl 3 1 2, 2.225 Å, 40.5 deg, rel. 53.2
hkl 3 -1 4, 2.207 Å, 40.9 deg, rel. 48.1
hkl 2 0 5, 2.094 Å, 43.2 deg, rel. 15.0
hkl 2 5 0, 1.384 Å, 67.7 deg, rel. 14.6
hkl 1 4 6, 1.371 Å, 68.5 deg, rel. 10.4
hkl 7 -5 3, 1.308 Å, 72.2 deg, rel. 15.2

Atomic structure:
```
data_LiGa12Ag6
_chemical_formula_sum 'Li3 Ga36 Ag18'
_cell_length_a 9.9810
_cell_length_b 9.9810
_cell_length_c 11.9686
_cell_angle_alpha 90.00
_cell_angle_beta 90.00
_cell_angle_gamma 120.00
_space_group_name_H-M_alt 'R -3'
_space_group_IT_number 148
_space_group_name_Hall '-R 3'
loop_
_atom_site_label
_atom_site_type_symbol
_atom_site_fract_x
_atom_site_fract_y
_atom_site_fract_z
Li1 Li 0.0000 0.0000 0.0000
Ga1 Ga 0.0428 0.8593 0.8139
Ga2 Ga 0.0617 0.2039 0.4078
Ag1 Ag 0.0293 0.5883 0.7111
```

=====

3.
Starting from the GGA-PBE geometry in Alexandria, the XRD peak list of P2C3 was computed for Cu Kα.

The 10 most intense peaks (2θ from 15° to 90°), by angle:
hkl 0 1 1, 4.118 Å, 21.6 deg, rel. 100.0
hkl 0 1 3, 2.948 Å, 30.3 deg, rel. 20.4
hkl 1 0 0, 2.637 Å, 34.0 deg, rel. 15.4
hkl 1 0 2, 2.412 Å, 37.3 deg, rel. 31.8
hkl 0 2 0, 2.193 Å, 41.2 deg, rel. 28.1
hkl 0 1 5, 2.098 Å, 43.1 deg, rel. 20.9
hkl 1 1 3, 1.966 Å, 46.2 deg, rel. 20.4
hkl 1 1 5, 1.642 Å, 56.0 deg, rel. 16.1
hkl 1 2 2, 1.623 Å, 56.7 deg, rel. 16.4
hkl 1 1 7, 1.362 Å, 68.9 deg, rel. 16.1

Atomic structure:
```
data_P2C3
_chemical_formula_sum 'P4 C6'
_cell_length_a 2.637
_cell_length_b 4.387
_cell_length_c 11.947
_cell_angle_alpha 90.00
_cell_angle_beta 90.00
_cell_angle_gamma 90.00
_space_group_name_H-M_alt 'A m m 2'
_space_group_IT_number 38
_space_group_name_Hall 'A 2 -2'
loop_
_atom_site_label
_atom_site_type_symbol
_atom_site_fract_x
_atom_site_fract_y
_atom_site_fract_z
P1 P 0.000 0.000 0.000
P2 P 0.000 0.000 0.415
C1 C 0.000 0.000 0.148
C2 C 0.500 0.000 0.205
C3 C 0.500 0.000 0.324
```

=====

4.
Starting from the GGA-PBE geometry in Alexandria, the XRD peak list of HoGa6Pd6 was computed for Cu Kα.

The 10 most intense peaks (2θ from 15° to 90°), by angle:
hkl 0 2 2, 3.136 Å, 28.5 deg, rel. 21.6
hkl 2 0 0, 2.746 Å, 32.6 deg, rel. 31.3
hkl 2 0 2, 2.380 Å, 37.8 deg, rel. 62.2
hkl 0 0 4, 2.373 Å, 37.9 deg, rel. 31.6
hkl 2 2 0, 2.293 Å, 39.3 deg, rel. 100.0
hkl 1 3 2, 2.200 Å, 41.0 deg, rel. 20.9
hkl 0 4 0, 2.086 Å, 43.4 deg, rel. 34.9
hkl 2 2 2, 2.066 Å, 43.8 deg, rel. 84.0
hkl 0 4 4, 1.568 Å, 58.9 deg, rel. 25.2
hkl 2 0 6, 1.371 Å, 68.4 deg, rel. 24.4

Atomic structure:
```
data_HoGa6Pd6
_chemical_formula_sum 'Ho2 Ga12 Pd12'
_cell_length_a 5.502
_cell_length_b 8.344
_cell_length_c 9.493
_cell_angle_alpha 90.00
_cell_angle_beta 90.00
_cell_angle_gamma 90.00
_space_group_name_H-M_alt 'I m m m'
_space_group_IT_number 71
_space_group_name_Hall '-I 2 2'
loop_
_atom_site_label
_atom_site_type_symbol
_atom_site_fract_x
_atom_site_fract_y
_atom_site_fract_z
Ho1 Ho 0.000 0.000 0.000
Ga1 Ga 0.000 0.000 0.342
Ga2 Ga 0.000 0.351 0.000
Ga3 Ga 0.000 0.500 0.323
Pd1 Pd 0.000 0.260 0.500
Pd2 Pd 0.250 0.250 0.250
```

=====

5.
Starting from the GGA-PBE geometry in Alexandria, the XRD peak list of LiCuP4Ru2O14 was computed for Cu Kα.

The 10 most intense peaks (2θ from 15° to 90°), by angle:
hkl 0 1 -1, 5.274 Å, 16.8 deg, rel. 37.7
hkl 0 1 1, 4.984 Å, 17.8 deg, rel. 23.9
hkl 1 -1 0, 4.503 Å, 19.7 deg, rel. 22.9
hkl 1 -1 1, 3.961 Å, 22.4 deg, rel. 28.9
hkl 0 1 -2, 3.612 Å, 24.6 deg, rel. 15.7
hkl 1 1 0, 3.329 Å, 26.8 deg, rel. 37.8
hkl 1 1 -1, 3.160 Å, 28.2 deg, rel. 17.3
hkl -1 1 2, 3.066 Å, 29.1 deg, rel. 100.0
hkl 0 2 2, 2.492 Å, 36.0 deg, rel. 18.6
hkl 3 -1 2, 1.502 Å, 61.7 deg, rel. 13.2

Atomic structure:
```
data_LiCuP4Ru2O14
_chemical_formula_sum 'Li1 Cu1 P4 Ru2 O14'
_cell_length_a 4.908
_cell_length_b 6.819
_cell_length_c 8.386
_cell_angle_alpha 92.68
_cell_angle_beta 91.62
_cell_angle_gamma 107.90
_space_group_name_H-M_alt 'P 1'
_space_group_IT_number 1
_space_group_name_Hall 'P 1'
loop_
_atom_site_label
_atom_site_type_symbol
_atom_site_fract_x
_atom_site_fract_y
_atom_site_fract_z
Li1 Li 0.000 0.000 0.000
Cu1 Cu 0.578 0.467 0.448
P1 P 0.174 0.706 0.138
P2 P 0.527 0.811 0.669
P3 P 0.605 0.126 0.211
P4 P 0.953 0.227 0.741
Ru1 Ru 0.067 0.966 0.439
Ru2 Ru 0.564 0.468 0.938
O1 O 0.050 0.226 0.570
O2 O 0.081 0.705 0.311
O3 O 0.184 0.246 0.876
O4 O 0.291 0.901 0.623
O5 O 0.361 0.948 0.106
O6 O 0.363 0.568 0.118
O7 O 0.418 0.633 0.775
O8 O 0.452 0.181 0.360
O9 O 0.693 0.755 0.525
O10 O 0.709 0.300 0.101
O11 O 0.761 0.990 0.779
O12 O 0.765 0.368 0.757
O13 O 0.848 0.036 0.246
O14 O 0.938 0.693 0.008
```

=====

6.
Starting from the GGA-PBE geometry in Alexandria, the XRD peak list of Nd5Dy12Y was computed for Cu Kα.

The 10 most intense peaks (2θ from 15° to 90°), by angle:
hkl 2 4 0, 3.486 Å, 25.6 deg, rel. 7.6
hkl 0 0 2, 2.881 Å, 31.0 deg, rel. 66.7
hkl 3 3 1, 2.828 Å, 31.6 deg, rel. 100.0
hkl 4 2 0, 2.788 Å, 32.1 deg, rel. 6.8
hkl 0 6 2, 2.038 Å, 44.5 deg, rel. 17.0
hkl 6 0 0, 1.964 Å, 46.2 deg, rel. 7.0
hkl 3 3 3, 1.653 Å, 55.6 deg, rel. 29.8
hkl 6 0 2, 1.623 Å, 56.7 deg, rel. 12.1
hkl 4 8 2, 1.491 Å, 62.3 deg, rel. 7.3
hkl 7 5 1, 1.464 Å, 63.6 deg, rel. 7.6

Atomic structure:
```
data_Nd5Dy12Y
_chemical_formula_sum 'Nd10 Dy24 Y2'
_cell_length_a 11.781
_cell_length_b 17.297
_cell_length_c 5.762
_cell_angle_alpha 90.00
_cell_angle_beta 90.00
_cell_angle_gamma 90.00
_space_group_name_H-M_alt 'C 1 2/m 1'
_space_group_IT_number 12
_space_group_name_Hall '-C 2y'
loop_
_atom_site_label
_atom_site_type_symbol
_atom_site_fract_x
_atom_site_fract_y
_atom_site_fract_z
Nd1 Nd 0.000 0.000 0.000
Nd2 Nd 0.000 0.139 0.500
Nd3 Nd 0.000 0.363 0.000
Dy1 Dy 0.154 0.179 0.001
Dy2 Dy 0.155 0.321 0.499
Dy3 Dy 0.199 0.500 0.004
Dy4 Dy 0.201 0.000 0.496
Y1 Y 0.000 0.500 0.500
```